Structure and calculated PXRD pattern of La4Ge2H (a cell relaxed with PBE; Cu Kα (weighted mean of Kα1 and Kα2)).
No peak broadening, texture or thermal motion is included.

Structural model:
```
La4Ge2H
1.0
6.688 0.000 0.000
0.000 6.716 0.000
-3.006 0.000 8.475
La Ge H
8 4 2
Direct
0.011 0.012 0.262
0.011 0.488 0.262
0.413 0.250 0.086
0.427 0.250 0.623
0.573 0.750 0.377
0.587 0.750 0.914
0.989 0.512 0.738
0.989 0.988 0.738
0.216 0.750 0.054
0.262 0.750 0.567
0.738 0.250 0.433
0.784 0.250 0.946
0.239 0.250 0.808
0.761 0.750 0.192
```

Largest 10 diffraction maxima, most intense first, 2θ from 10° to 80°:
d/Å	2θ/deg	I_rel	index
3.070	29.09	100	2 0 -2
2.631	34.08	88	1 2 -2
2.964	30.16	77	1 2 0
2.792	32.06	51	2 1 -2
2.248	40.11	32	1 0 -4
1.791	50.99	31	2 2 -4
1.840	49.55	25	3 2 -2
3.582	24.86	24	1 1 -2
1.473	63.12	21	2 4 -2
2.853	31.35	17	2 1 0